No. 1
Calculated powder XRD pattern
Compound: CsMgPH12O10
Radiation: CuKα
Structure: DFT lattice parameters and positions (PBE)
Neutral-atom scattering factors, no anomalous dispersion.

Crystal structure
Cell: 10.108 10.108 10.108 Å, 90.00 90.00 90.00°
Space group F-43m (No. 216)
Asymmetric unit:
1 Cs 0.000 0.000 0.000 (multiplicity 4)
2 Mg 0.250 0.250 0.250 (multiplicity 4)
3 P 0.000 0.000 0.500 (multiplicity 4)
4 H 0.013 0.192 0.692 (multiplicity 48)
5 O 0.043 0.250 0.250 (multiplicity 24)
6 O 0.089 0.089 0.589 (multiplicity 16)

Principal peaks in the range 10 to 90 degrees two-theta, in order of rising 2θ:
2θ/deg  I (rel.)  h k l
17.5  60  2 0 0
24.9  100  2 2 0
29.3  60  3 1 1
30.6  83  2 2 2
35.5  37  4 0 0
51.1  33  4 4 0

=====

No. 2
Calculated powder XRD pattern
Compound: Cs2MgP4H8O16
Radiation: CuKα
Structure: DFT lattice parameters and positions (PBE)
Neutral-atom scattering factors, no anomalous dispersion.

Crystal structure
Cell: 7.180 7.578 8.035 Å, 84.09 70.46 89.54°
Space group P-1 (No. 2)
Asymmetric unit:
1 Cs 0.094 0.202 0.279 (multiplicity 2)
2 Mg 0.500 0.000 0.500 (multiplicity 1)
3 P 0.238 0.301 0.744 (multiplicity 2)
4 P 0.363 0.747 0.243 (multiplicity 2)
5 H 0.088 0.752 0.100 (multiplicity 2)
6 H 0.272 0.528 0.464 (multiplicity 2)
7 H 0.366 0.678 0.705 (multiplicity 2)
8 H 0.377 0.805 0.848 (multiplicity 2)
9 O 0.048 0.277 0.914 (multiplicity 2)
10 O 0.258 0.155 0.625 (multiplicity 2)
11 O 0.261 0.489 0.652 (multiplicity 2)
12 O 0.270 0.559 0.335 (multiplicity 2)
13 O 0.291 0.800 0.088 (multiplicity 2)
14 O 0.330 0.878 0.380 (multiplicity 2)
15 O 0.401 0.279 0.846 (multiplicity 2)
16 O 0.411 0.797 0.720 (multiplicity 2)

Principal peaks in the range 10 to 90 degrees two-theta, in order of rising 2θ:
2θ/deg  I (rel.)  h k l
18.0  37  1 1 1
23.6  100  0 2 0
24.4  37  1 1 -1
27.5  26  2 1 1
28.6  43  2 -1 0
32.0  32  2 -1 2

=====

No. 3
Calculated powder XRD pattern
Compound: Cs2PrMg3H12
Radiation: CuKα
Structure: DFT lattice parameters and positions (PBE)
Neutral-atom scattering factors, no anomalous dispersion.

Crystal structure
Cell: 7.5164 7.5164 15.8412 Å, 90.00 90.00 120.00°
Space group R-3m (No. 166, hexagonal axes)
Asymmetric unit:
1 Cs 0.0000 0.0000 0.1093 (multiplicity 6)
2 Pr 0.0000 0.0000 0.5000 (multiplicity 3)
3 Mg 0.0000 0.5000 0.0000 (multiplicity 9)
4 H 0.0073 0.5036 0.8804 (multiplicity 18)
5 H 0.0988 0.5494 0.3037 (multiplicity 18)

Principal peaks in the range 10 to 90 degrees two-theta, in order of rising 2θ:
2θ/deg  I (rel.)  h k l
17.6  40  0 1 2
23.7  100  1 1 0
29.2  71  1 1 3
29.7  29  2 0 2
31.4  60  0 1 5
46.7  39  1 2 5

=====

No. 4
Calculated powder XRD pattern
Compound: Cs4Rb3MgH8
Radiation: CuKα
Structure: DFT lattice parameters and positions (PBE)
Neutral-atom scattering factors, no anomalous dispersion.

Crystal structure
Cell: 14.459 8.353 8.458 Å, 90.00 124.79 90.00°
Space group C2/m (No. 12)
Asymmetric unit:
1 Cs 0.000 0.000 0.000 (multiplicity 2)
2 Cs 0.000 0.500 0.000 (multiplicity 2)
3 Cs 0.250 0.250 0.000 (multiplicity 4)
4 Rb 0.000 0.000 0.500 (multiplicity 2)
5 Rb 0.250 0.250 0.500 (multiplicity 4)
6 Mg 0.000 0.500 0.500 (multiplicity 2)
7 H 0.003 0.314 0.323 (multiplicity 8)
8 H 0.184 0.500 0.678 (multiplicity 4)
9 H 0.243 0.000 0.728 (multiplicity 4)

Principal peaks in the range 10 to 90 degrees two-theta, in order of rising 2θ:
2θ/deg  I (rel.)  h k l
25.6  35  0 0 2
26.1  100  2 2 0
30.1  73  4 0 0
42.8  27  2 2 2
43.3  26  0 4 0
51.0  31  6 2 0

=====

No. 5
Calculated powder XRD pattern
Compound: Cs2MnH5
Radiation: CuKα
Structure: DFT lattice parameters and positions (PBE)
Neutral-atom scattering factors, no anomalous dispersion.

Crystal structure
Cell: 6.482 6.482 3.897 Å, 90.00 90.00 90.00°
Space group P4/mmm (No. 123)
Asymmetric unit:
1 Cs 0.000 0.500 0.000 (multiplicity 2)
2 Mn 0.000 0.000 0.500 (multiplicity 1)
3 H 0.000 0.000 0.000 (multiplicity 1)
4 H 0.184 0.184 0.500 (multiplicity 4)

Principal peaks in the range 10 to 90 degrees two-theta, in order of rising 2θ:
2θ/deg  I (rel.)  h k l
19.4  59  1 1 0
27.5  62  2 0 0
30.1  100  1 1 1
36.0  27  2 0 1
39.3  24  2 2 0
50.3  45  3 1 1